# 1
Diffraction record for Pr6GeBi2Te3. The XRD peak list is simulated, not measured: it uses a DFT-relaxed cell (GGA-PBE, Alexandria) and Cu Ka.

Atomic structure:
```
Pr6GeBi2Te3
1.0
9.9256 -2.2672 0.0000
9.9256 2.2672 0.0000
-2.0739 0.0000 8.8895
Pr Ge Bi Te
6 1 2 3
Cartesian
-0.5467 0.0000 2.4294 Pr
4.7341 0.0000 8.1589 Pr
5.9612 0.0000 3.7514 Pr
11.8161 0.0000 5.1381 Pr
13.0432 0.0000 0.7306 Pr
18.3240 0.0000 6.4602 Pr
8.8887 0.0000 4.4448 Ge
1.5768 0.0000 7.4095 Bi
16.2005 0.0000 1.4800 Bi
2.6822 0.0000 2.9802 Te
9.9256 0.0000 0.0000 Te
15.0951 0.0000 5.9093 Te
```

Peak list (10 most intense, 5° ≤ 2θ ≤ 70°, low angle first)
27.72°, d = 3.218 Å, I = 100.0; 39.53°, d = 2.280 Å, I = 37.7; 39.63°, d = 2.274 Å, I = 25.2; 39.76°, d = 2.267 Å, I = 13.0; 48.84°, d = 1.865 Å, I = 6.8; 48.98°, d = 1.860 Å, I = 6.6; 49.14°, d = 1.854 Å, I = 13.7; 57.28°, d = 1.608 Å, I = 8.5; 64.64°, d = 1.442 Å, I = 10.9; 64.75°, d = 1.440 Å, I = 11.2

=====

# 2
Diffraction record for Be2Tl2PbO6. The XRD peak list is simulated, not measured: it uses a DFT-relaxed cell (GGA-PBE, Alexandria) and Cu Ka.

Atomic structure:
```
Be2Tl2PbO6
1.0
5.2965 0.0000 0.0000
-2.6482 4.5869 0.0000
0.0000 0.0000 6.8761
Be Tl Pb O
2 2 1 6
Cartesian
0.0000 3.0579 2.1907 Be
2.6482 1.5290 4.6854 Be
0.0000 3.0579 5.8022 Tl
2.6482 1.5290 1.0739 Tl
0.0000 0.0000 3.4381 Pb
-1.5408 3.2005 2.1254 O
0.6469 1.6523 2.1254 O
1.7544 0.2659 4.7508 O
0.8938 4.3210 2.1254 O
2.0013 2.9346 4.7508 O
4.1890 1.3864 4.7508 O
```

Peak list (10 most intense, 5° ≤ 2θ ≤ 70°, low angle first)
23.31°, d = 3.816 Å, I = 100.0; 32.55°, d = 2.751 Å, I = 52.5; 33.85°, d = 2.648 Å, I = 39.1; 41.51°, d = 2.176 Å, I = 26.6; 47.67°, d = 1.908 Å, I = 16.7; 52.82°, d = 1.733 Å, I = 26.8; 54.59°, d = 1.681 Å, I = 22.9; 57.23°, d = 1.610 Å, I = 10.6; 59.74°, d = 1.548 Å, I = 17.7; 60.56°, d = 1.529 Å, I = 10.5

=====

Please write out number 1 again, unchanged.
Diffraction record for Pr6GeBi2Te3. The XRD peak list is simulated, not measured: it uses a DFT-relaxed cell (GGA-PBE, Alexandria) and Cu Ka.

Atomic structure:
```
Pr6GeBi2Te3
1.0
9.9256 -2.2672 0.0000
9.9256 2.2672 0.0000
-2.0739 0.0000 8.8895
Pr Ge Bi Te
6 1 2 3
Cartesian
-0.5467 0.0000 2.4294 Pr
4.7341 0.0000 8.1589 Pr
5.9612 0.0000 3.7514 Pr
11.8161 0.0000 5.1381 Pr
13.0432 0.0000 0.7306 Pr
18.3240 0.0000 6.4602 Pr
8.8887 0.0000 4.4448 Ge
1.5768 0.0000 7.4095 Bi
16.2005 0.0000 1.4800 Bi
2.6822 0.0000 2.9802 Te
9.9256 0.0000 0.0000 Te
15.0951 0.0000 5.9093 Te
```

Peak list (10 most intense, 5° ≤ 2θ ≤ 70°, low angle first)
27.72°, d = 3.218 Å, I = 100.0; 39.53°, d = 2.280 Å, I = 37.7; 39.63°, d = 2.274 Å, I = 25.2; 39.76°, d = 2.267 Å, I = 13.0; 48.84°, d = 1.865 Å, I = 6.8; 48.98°, d = 1.860 Å, I = 6.6; 49.14°, d = 1.854 Å, I = 13.7; 57.28°, d = 1.608 Å, I = 8.5; 64.64°, d = 1.442 Å, I = 10.9; 64.75°, d = 1.440 Å, I = 11.2

=====

Repeat the second record exactly.
Diffraction record for Be2Tl2PbO6. The XRD peak list is simulated, not measured: it uses a DFT-relaxed cell (GGA-PBE, Alexandria) and Cu Ka.

Atomic structure:
```
Be2Tl2PbO6
1.0
5.2965 0.0000 0.0000
-2.6482 4.5869 0.0000
0.0000 0.0000 6.8761
Be Tl Pb O
2 2 1 6
Cartesian
0.0000 3.0579 2.1907 Be
2.6482 1.5290 4.6854 Be
0.0000 3.0579 5.8022 Tl
2.6482 1.5290 1.0739 Tl
0.0000 0.0000 3.4381 Pb
-1.5408 3.2005 2.1254 O
0.6469 1.6523 2.1254 O
1.7544 0.2659 4.7508 O
0.8938 4.3210 2.1254 O
2.0013 2.9346 4.7508 O
4.1890 1.3864 4.7508 O
```

Peak list (10 most intense, 5° ≤ 2θ ≤ 70°, low angle first)
23.31°, d = 3.816 Å, I = 100.0; 32.55°, d = 2.751 Å, I = 52.5; 33.85°, d = 2.648 Å, I = 39.1; 41.51°, d = 2.176 Å, I = 26.6; 47.67°, d = 1.908 Å, I = 16.7; 52.82°, d = 1.733 Å, I = 26.8; 54.59°, d = 1.681 Å, I = 22.9; 57.23°, d = 1.610 Å, I = 10.6; 59.74°, d = 1.548 Å, I = 17.7; 60.56°, d = 1.529 Å, I = 10.5

=====

Question: What is the formula in the second record?
Answer: Be2Tl2PbO6